[1]
Structure and calculated PXRD pattern of RbW2C (a DFT-relaxed cell (GGA-PBE, Alexandria); Cu Kα (weighted mean of Kα1 and Kα2)).
Neutral-atom scattering factors, no anomalous dispersion.

Structure:
abc: 6.4541 6.4541 9.1156
angles: 90.00 90.00 90.00
Space group I4_1/amd (No. 141, origin choice 2)
Inequivalent atoms, fractional coordinates:
1 Rb 0.0000 0.2500 0.3750 [4 per cell]
2 W 0.0000 0.0000 0.0000 [8 per cell]
3 C 0.0000 0.2500 0.8750 [4 per cell]

Principal peaks in the range 2θ = 10–80°, in order of rising 2θ:
- 2θ = 16.83°, d 5.267, I = 49, hkl 1 0 1
- 2θ = 27.65°, d 3.226, I = 14, hkl 2 0 0
- 2θ = 32.55°, d 2.751, I = 100, hkl 2 1 1
- 2θ = 34.04°, d 2.634, I = 70, hkl 2 0 2
- 2θ = 39.51°, d 2.281, I = 19, hkl 2 2 0
- 2θ = 52.09°, d 1.756, I = 36, hkl 3 2 1
- 2θ = 57.11°, d 1.613, I = 39, hkl 4 0 0
- 2θ = 68.18°, d 1.375, I = 29, hkl 4 2 2

=====

[2]
Structure and calculated PXRD pattern of Rb2YC (a DFT-relaxed cell (GGA-PBE, Alexandria); Cu Kα (weighted mean of Kα1 and Kα2)).
Neutral-atom scattering factors, no anomalous dispersion.

Structure:
abc: 13.3399 13.3399 4.5428
angles: 90.00 90.00 90.00
Space group I-42d (No. 122)
Inequivalent atoms, fractional coordinates:
1 Rb 0.0700 0.2500 0.1250 [8 per cell]
2 Y 0.0000 0.0000 0.5000 [4 per cell]
3 C 0.0000 0.0000 0.0000 [4 per cell]

Principal peaks in the range 2θ = 10–80°, in order of rising 2θ:
- 2θ = 13.27°, d 6.670, I = 26, hkl 2 0 0
- 2θ = 21.06°, d 4.218, I = 48, hkl 3 1 0
- 2θ = 24.63°, d 3.614, I = 100, hkl 2 1 1
- 2θ = 26.73°, d 3.335, I = 27, hkl 4 0 0
- 2θ = 29.96°, d 2.983, I = 41, hkl 4 2 0
- 2θ = 31.18°, d 2.869, I = 25, hkl 3 2 1
- 2θ = 39.16°, d 2.301, I = 18, hkl 5 0 1
- 2θ = 45.95°, d 1.975, I = 16, hkl 6 1 1